The following is a calculated PXRD pattern of K2Ba3NpO6. It was derived from the PBE geometry in Alexandria, using copper Kα.
No peak broadening, texture or thermal motion is included.

Largest 6 diffraction maxima, by angle, 10° ≤ 2θ ≤ 90°:
d/Å	I/Imax
5.568	272
3.171	311
3.152	611
3.038	267
2.708	1000
1.884	232

Crystal structure
```
K2Ba3NpO6
1.0
3.3767 -5.8149 0.0000
3.3767 5.8149 0.0000
-2.2211 0.0000 6.0751
K Ba Np O
2 3 1 6
Direct
0.1663 0.8337 0.0000 K
0.8337 0.1663 0.0000 K
0.0000 0.0000 0.5000 Ba
0.3328 0.6672 0.5000 Ba
0.6672 0.3328 0.5000 Ba
0.5000 0.5000 0.0000 Np
0.1574 0.4255 0.7760 O
0.3055 0.3055 0.2365 O
0.4255 0.1574 0.7760 O
0.5745 0.8426 0.2240 O
0.6945 0.6945 0.7635 O
0.8426 0.5745 0.2240 O
```

=====

The following is a calculated PXRD pattern of PaBeSi2. It was derived from the PBE geometry in Alexandria, using copper Kα.
No peak broadening, texture or thermal motion is included.

Largest 6 diffraction maxima, by angle, 10° ≤ 2θ ≤ 90°:
d/Å	I/Imax
4.001	293
3.824	493
3.599	793
2.774	304
2.491	1000
2.484	437

Crystal structure
```
PaBeSi2
1.0
1.9691 -8.0023 0.0000
1.9691 8.0023 0.0000
0.0000 0.0000 4.0300
Pa Be Si
2 2 4
Direct
0.1044 0.8956 0.7500 Pa
0.8956 0.1044 0.2500 Pa
0.3223 0.6777 0.7500 Be
0.6777 0.3223 0.2500 Be
0.2515 0.7485 0.2500 Si
0.4607 0.5393 0.7500 Si
0.5393 0.4607 0.2500 Si
0.7485 0.2515 0.7500 Si
```

=====

The following is a calculated PXRD pattern of NaCaPr. It was derived from the PBE geometry in Alexandria, using copper Kα.
No peak broadening, texture or thermal motion is included.

Largest 6 diffraction maxima, by angle, 10° ≤ 2θ ≤ 90°:
d/Å	I/Imax
3.570	503
3.072	439
3.011	1000
2.984	776
2.541	440
1.762	406

Crystal structure
```
NaCaPr
1.0
4.3449 0.0000 0.0000
0.0000 4.3449 0.0000
0.0000 0.0000 12.5264
Na Ca Pr
2 2 2
Direct
0.2500 0.7500 0.0000 Na
0.7500 0.2500 0.0000 Na
0.2500 0.2500 0.2549 Ca
0.7500 0.7500 0.7451 Ca
0.2500 0.2500 0.5643 Pr
0.7500 0.7500 0.4357 Pr
```